# 1
Structure and simulated powder diffractogram of Li7Mn4CoO12 (DFT lattice parameters and positions (GGA+U); Cu Kα X-rays).
Lines closer than 0.1° are merged.

Cell and atoms:
Lattice parameters (Å, degrees): 5.044 5.832 7.939 79.33 80.37 73.23
Fractional coordinates of all 24 atoms:
Li 0.000 0.000 0.000
Li 0.002 0.167 0.320
Li 0.014 0.329 0.642
Li 0.489 0.836 0.164
Li 0.502 0.166 0.821
Li 0.514 0.498 0.477
Li 0.993 0.671 0.319
Mn 0.000 0.494 0.998
Mn 0.009 0.837 0.645
Mn 0.501 0.328 0.165
Mn 0.501 0.668 0.818
Co 0.519 0.001 0.477
O 0.245 0.643 0.080
O 0.245 0.982 0.739
O 0.249 0.847 0.432
O 0.255 0.523 0.733
O 0.259 0.186 0.068
O 0.291 0.312 0.389
O 0.728 0.494 0.234
O 0.732 0.016 0.233
O 0.732 0.351 0.924
O 0.751 0.140 0.576
O 0.770 0.687 0.564
O 0.772 0.812 0.881

Most intense lines, 2θ = 10–90°, by intensity:
2theta, intensity
18.3, 1000
44.2, 556
41.7, 325
62.4, 313
36.3, 231
34.7, 170

# 2
Structure and simulated powder diffractogram of Li5Mn2CoO8 (DFT lattice parameters and positions (GGA+U); Cu Kα X-rays).
Lines closer than 0.1° are merged.

Cell and atoms:
Lattice parameters (Å, degrees): 5.761 5.847 9.745 80.99 89.63 60.57
Fractional coordinates of all 32 atoms:
Li 0.000 0.000 0.000
Li 0.122 0.252 0.741
Li 0.249 0.000 0.500
Li 0.249 0.501 0.499
Li 0.377 0.752 0.262
Li 0.500 0.000 0.000
Li 0.623 0.248 0.738
Li 0.751 0.000 0.500
Li 0.751 0.499 0.501
Li 0.878 0.748 0.259
Mn 0.111 0.769 0.743
Mn 0.387 0.229 0.258
Mn 0.613 0.771 0.742
Mn 0.889 0.231 0.257
Co 0.000 0.500 0.000
Co 0.500 0.500 0.000
O 0.051 0.900 0.364
O 0.073 0.360 0.361
O 0.190 0.130 0.137
O 0.204 0.592 0.117
O 0.282 0.409 0.879
O 0.315 0.862 0.866
O 0.431 0.635 0.642
O 0.447 0.100 0.636
O 0.553 0.900 0.364
O 0.569 0.365 0.358
O 0.685 0.138 0.134
O 0.718 0.591 0.121
O 0.796 0.408 0.883
O 0.810 0.870 0.863
O 0.927 0.640 0.639
O 0.949 0.100 0.636

Most intense lines, 2θ = 10–90°, by intensity:
2theta, intensity
18.5, 1000
43.9, 280
43.6, 274
44.1, 273
35.9, 142
63.5, 141

# 3
Structure and simulated powder diffractogram of Li7Mn2Co3O12 (DFT lattice parameters and positions (GGA+U); Cu Kα X-rays).
Lines closer than 0.1° are merged.

Cell and atoms:
Lattice parameters (Å, degrees): 5.859 5.907 6.438 76.35 75.49 87.94
Fractional coordinates of all 24 atoms:
Li 0.000 0.000 0.000
Li 0.000 0.499 0.002
Li 0.335 0.829 0.687
Li 0.337 0.322 0.690
Li 0.499 0.997 0.006
Li 0.661 0.669 0.335
Li 0.666 0.164 0.332
Mn 0.169 0.668 0.335
Mn 0.172 0.166 0.341
Co 0.500 0.497 0.005
Co 0.823 0.828 0.675
Co 0.826 0.326 0.681
O 0.049 0.574 0.660
O 0.079 0.101 0.666
O 0.253 0.732 0.023
O 0.261 0.259 0.027
O 0.385 0.899 0.352
O 0.414 0.440 0.327
O 0.583 0.554 0.691
O 0.626 0.095 0.664
O 0.734 0.737 0.980
O 0.744 0.267 0.984
O 0.919 0.896 0.352
O 0.933 0.421 0.358

Most intense lines, 2θ = 10–90°, by intensity:
2theta, intensity
18.6, 1000
42.7, 292
44.4, 265
44.9, 252
35.4, 140
36.4, 124

# 4
Structure and simulated powder diffractogram of Li4MnCo2O7 (DFT lattice parameters and positions (GGA+U); Cu Kα X-rays).
Lines closer than 0.1° are merged.

Cell and atoms:
Lattice parameters (Å, degrees): 3.009 3.009 34.317 92.13 92.13 56.13
Fractional coordinates of all 28 atoms:
Li 0.000 0.000 0.000
Li 0.000 0.000 0.500
Li 0.142 0.142 0.214
Li 0.298 0.298 0.931
Li 0.432 0.432 0.645
Li 0.568 0.568 0.355
Li 0.702 0.702 0.069
Li 0.858 0.858 0.786
Mn 0.285 0.285 0.428
Mn 0.715 0.715 0.572
Co 0.143 0.143 0.715
Co 0.426 0.426 0.144
Co 0.574 0.574 0.856
Co 0.857 0.857 0.285
O 0.066 0.066 0.114
O 0.092 0.092 0.606
O 0.204 0.204 0.824
O 0.230 0.230 0.317
O 0.336 0.336 0.538
O 0.362 0.362 0.037
O 0.485 0.485 0.254
O 0.515 0.515 0.746
O 0.638 0.638 0.963
O 0.664 0.664 0.462
O 0.770 0.770 0.683
O 0.796 0.796 0.176
O 0.908 0.908 0.394
O 0.934 0.934 0.886

Most intense lines, 2θ = 10–90°, by intensity:
2theta, intensity
18.1, 1000
44.4, 519
40.7, 353
61.9, 330
36.7, 302
34.0, 215